Structure and computed PXRD pattern of LaMn2BiO6 (a PBE+U-relaxed structure; Cu Kα).

Top 10 peaks for 10 to 90 degrees two-theta, low angle first:
2θ (°)	d/Å	intensity	hkl
21.9	4.050	254	0 1 1
23.0	3.860	150	2 0 0
24.8	3.586	289	1 1 1
30.1	2.969	209	0 0 2
32.0	2.794	1000	2 1 1
32.3	2.770	431	0 2 0
44.8	2.025	193	0 2 2
46.4	1.959	165	1 2 2
50.4	1.812	213	1 1 3
57.5	1.603	228	2 3 1

Structural model:
```
LaMn2BiO6
1.0
7.720 0.000 0.000
0.000 5.537 0.000
0.000 0.000 5.938
La Mn Bi O
2 4 2 12
Direct
0.000 0.238 0.000
0.000 0.762 0.500
0.252 0.248 0.563
0.252 0.752 0.063
0.748 0.248 0.563
0.748 0.752 0.063
0.500 0.263 0.134
0.500 0.737 0.634
0.000 0.337 0.586
0.000 0.663 0.086
0.205 0.036 0.248
0.205 0.964 0.748
0.296 0.463 0.882
0.296 0.537 0.382
0.500 0.149 0.532
0.500 0.851 0.032
0.704 0.463 0.882
0.704 0.537 0.382
0.795 0.036 0.248
0.795 0.964 0.748
```